For K3VMo3H4O15, a DFT-relaxed cell (PBE+U, Alexandria) gives the computed X-ray powder pattern in this record (copper Kα).
Intensities are scaled so that the largest is 100.

Top 6 peaks for 10° ≤ 2θ ≤ 90°, by intensity:
| 2theta | Rel. int. |
| --- | --- |
| 12.13 | 100 |
| 10.08 | 90 |
| 27.18 | 69 |
| 27.63 | 52 |
| 11.57 | 32 |
| 29.26 | 32 |

Crystal structure
Unit cell a=9.954 b=9.954 c=9.416 alpha=117.59 beta=117.59 gamma=82.53
Fractional coordinates of all 52 atoms:
K 0.000 0.000 0.000
K 0.020 0.407 0.271
K 0.407 0.020 0.271
K 0.500 0.500 0.500
K 0.593 0.980 0.729
K 0.980 0.593 0.729
V 0.115 0.115 0.493
V 0.885 0.885 0.507
Mo 0.107 0.758 0.274
Mo 0.242 0.893 0.726
Mo 0.271 0.271 0.958
Mo 0.729 0.729 0.042
Mo 0.758 0.107 0.274
Mo 0.893 0.242 0.726
H 0.247 0.417 0.678
H 0.319 0.575 0.732
H 0.417 0.247 0.678
H 0.425 0.681 0.268
H 0.575 0.319 0.732
H 0.583 0.753 0.322
H 0.681 0.425 0.268
H 0.753 0.583 0.322
O 0.057 0.770 0.503
O 0.060 0.060 0.688
O 0.086 0.369 0.881
O 0.133 0.789 0.119
O 0.148 0.148 0.354
O 0.211 0.867 0.881
O 0.225 0.617 0.306
O 0.227 0.502 0.646
O 0.230 0.943 0.497
O 0.235 0.235 0.106
O 0.251 0.251 0.707
O 0.369 0.086 0.881
O 0.383 0.775 0.694
O 0.419 0.419 0.101
O 0.498 0.773 0.354
O 0.502 0.227 0.646
O 0.581 0.581 0.899
O 0.617 0.225 0.306
O 0.631 0.914 0.119
O 0.749 0.749 0.293
O 0.765 0.765 0.894
O 0.770 0.057 0.503
O 0.773 0.498 0.354
O 0.775 0.383 0.694
O 0.789 0.133 0.119
O 0.852 0.852 0.646
O 0.867 0.211 0.881
O 0.914 0.631 0.119
O 0.940 0.940 0.312
O 0.943 0.230 0.497